This entry pairs a crystal structure of Mo2P3O13 with its theoretical X-ray powder pattern. Radiation: Cu Kα X-rays. Structure: a DFT-relaxed cell (GGA+U, the Materials Project).

Principal peaks in the range 5 to 70 degrees two-theta, low angle first:
11.87 deg, d 7.456, intensity 100, (1 1 -1)
17.04 deg, d 5.203, intensity 93, (0 2 1)
20.32 deg, d 4.371, intensity 33, (2 2 -1)
20.69 deg, d 4.294, intensity 21, (1 3 0)
26.22 deg, d 3.398, intensity 26, (3 1 -2)
26.94 deg, d 3.309, intensity 17, (1 3 1)
27.19 deg, d 3.280, intensity 16, (0 2 2)
29.24 deg, d 3.055, intensity 15, (2 4 -1)
31.66 deg, d 2.826, intensity 35, (2 4 0)
32.13 deg, d 2.786, intensity 14, (1 1 2)

Structural model:
a b c (Å): 10.8276 14.8001 9.0362
angles (deg): 90.00 125.93 90.00
Space group Cc (No. 9)
Unique sites:
Mo  0.0000  0.0901  0.0000
Mo  0.0110  0.4086  0.6632
P  0.2024  0.2110  0.8983
P  0.2541  0.4901  0.5833
P  0.3058  0.2110  0.2668
O  0.0865  0.1390  0.8636
O  0.0926  0.0101  0.5654
O  0.1240  0.4300  0.5601
O  0.1450  0.2797  0.7498
O  0.1650  0.1629  0.2299
O  0.1805  0.4515  0.9062
O  0.2538  0.2646  0.0819
O  0.3115  0.4486  0.2466
O  0.3523  0.1630  0.9499
O  0.3769  0.2779  0.4196
O  0.3767  0.4290  0.6047
O  0.4147  0.0082  0.5982
O  0.4230  0.1401  0.2885